The following is a simulated X-ray powder pattern of KRbCl2. It was derived from a structure optimized by DFT (PBE), using a wavelength of 1.5418 Å.
No peak broadening, texture or thermal motion is included.

Atomic structure:
abc: 5.5518 5.5518 3.9259
angles: 90.00 90.00 90.00
Fractional coordinates of all 4 atoms:
K 0.0000 0.0000 0.0000
Rb 0.5000 0.5000 0.0000
Cl 0.0000 0.5000 0.5000
Cl 0.5000 0.0000 0.5000

Most intense lines, 10° ≤ 2θ ≤ 90°, by intensity:
32.2 deg, rel. 100; 57.5 deg, rel. 33; 46.3 deg, rel. 17; 76.8 deg, rel. 14; 67.5 deg, rel. 10; 16.0 deg, rel. 9